[1]
Diffraction record for Mg6CdCO8. The powder X-ray diffraction pattern is theoretical, not measured: it uses a PBE-relaxed structure and λ = 1.5418 Å (Cu Kα).
Intensities are scaled so that the largest is 100.

Largest 8 diffraction maxima, sorted by position, 10 to 80 degrees two-theta:
| h k l | 2theta | Rel. int. |
| --- | --- | --- |
| 0 0 1 | 10.24 | 73 |
| 0 0 2 | 20.52 | 33 |
| 1 0 1 | 22.96 | 58 |
| 0 0 3 | 30.99 | 44 |
| 1 1 2 | 35.93 | 40 |
| 2 0 0 | 41.68 | 100 |
| 0 0 4 | 41.83 | 48 |
| 2 0 4 | 60.52 | 55 |

Cell and atoms:
```
data_Mg6CdCO8
_symmetry_space_group_name_H-M 'P 4/m m m'
_symmetry_Int_Tables_number 123
_symmetry_space_group_name_Hall '-P 4 2'
_cell_length_a 4.3344
_cell_length_b 4.3344
_cell_length_c 8.6386
_cell_angle_alpha 90.00
_cell_angle_beta 90.00
_cell_angle_gamma 90.00
loop_
_atom_site_label
_atom_site_type_symbol
_atom_site_fract_x
_atom_site_fract_y
_atom_site_fract_z
_atom_site_occupancy
Mg1 Mg 0.0000 0.0000 0.0000 1
Mg2 Mg 0.0000 0.0000 0.5000 1
Mg3 Mg 0.0000 0.5000 0.2405 1
Cd1 Cd 0.5000 0.5000 0.5000 1
C1 C 0.5000 0.5000 0.0000 1
O1 O 0.0000 0.0000 0.2494 1
O2 O 0.0000 0.5000 0.0000 1
O3 O 0.0000 0.5000 0.5000 1
O4 O 0.5000 0.5000 0.2319 1
```

***

[2]
Diffraction record for NdHfF7. The powder X-ray diffraction pattern is theoretical, not measured: it uses a PBE-relaxed structure and λ = 1.5418 Å (Cu Kα).
Intensities are scaled so that the largest is 100.

Largest 8 diffraction maxima, sorted by position, 10 to 80 degrees two-theta:
| h k l | 2theta | Rel. int. |
| --- | --- | --- |
| 1 1 0 | 21.03 | 100 |
| 0 0 2 | 21.48 | 40 |
| 1 1 -1 | 22.26 | 15 |
| 1 1 1 | 24.95 | 16 |
| 1 1 -2 | 28.03 | 29 |
| 0 2 0 | 30.71 | 15 |
| 2 2 -1 | 42.69 | 15 |
| 3 1 -1 | 46.19 | 19 |

Cell and atoms:
```
data_NdHfF7
_symmetry_space_group_name_H-M 'P 1 21 1'
_symmetry_Int_Tables_number 4
_cell_length_a 6.2671
_cell_length_b 5.8231
_cell_length_c 8.4452
_cell_angle_alpha 90.00
_cell_angle_beta 101.58
_cell_angle_gamma 90.00
loop_
_symmetry_equiv_pos_as_xyz
'x,y,z'
'-x,y+1/2,-z'
loop_
_atom_site_label
_atom_site_type_symbol
_atom_site_fract_x
_atom_site_fract_y
_atom_site_fract_z
_atom_site_occupancy
Nd1 Nd 0.1579 0.0000 0.1881 1
Hf1 Hf 0.3115 0.9907 0.7242 1
F1 F 0.0517 0.3151 0.0260 1
F2 F 0.0530 0.1989 0.7136 1
F3 F 0.1260 0.7054 0.7165 1
F4 F 0.2576 0.9935 0.4826 1
F5 F 0.3584 0.9862 0.9668 1
F6 F 0.4338 0.2789 0.2694 1
F7 F 0.4718 0.7503 0.2611 1
```

***

[3]
Diffraction record for MgSi2. The powder X-ray diffraction pattern is theoretical, not measured: it uses a PBE-relaxed structure and λ = 1.5418 Å (Cu Kα).
Intensities are scaled so that the largest is 100.

Largest 8 diffraction maxima, sorted by position, 10 to 80 degrees two-theta:
| h k l | 2theta | Rel. int. |
| --- | --- | --- |
| 2 1 0 | 37.98 | 19 |
| 2 1 -2 | 38.42 | 80 |
| 1 1 2 | 39.16 | 100 |
| 1 0 -4 | 40.03 | 46 |
| 3 0 0 | 41.94 | 17 |
| 0 2 0 | 52.55 | 24 |
| 1 2 -4 | 68.05 | 18 |
| 0 1 6 | 72.62 | 14 |

Cell and atoms:
```
data_MgSi2
_symmetry_space_group_name_H-M 'P 1 2/m 1'
_symmetry_Int_Tables_number 10
_cell_length_a 6.9180
_cell_length_b 3.4831
_cell_length_c 9.0153
_cell_angle_alpha 90.00
_cell_angle_beta 110.90
_cell_angle_gamma 90.00
loop_
_symmetry_equiv_pos_as_xyz
'x,y,z'
'-x,-y,-z'
'-x,y,-z'
'x,-y,z'
loop_
_atom_site_label
_atom_site_type_symbol
_atom_site_fract_x
_atom_site_fract_y
_atom_site_fract_z
_atom_site_occupancy
Mg1 Mg 0.0555 0.0000 0.2710 1
Mg2 Mg 0.3292 0.5000 0.8489 1
Si1 Si 0.0000 0.5000 0.0000 1
Si2 Si 0.0000 0.5000 0.5000 1
Si3 Si 0.2845 0.0000 0.5972 1
Si4 Si 0.2950 0.0000 0.0958 1
Si5 Si 0.4321 0.5000 0.3444 1
```